For LiFeCuO4, a crystal structure in Alexandria, relaxed with GGA+U gives the computed X-ray diffraction stick pattern in this record (a wavelength of 1.5418 Å).
Kinematic intensities with the Lorentz-polarization factor, no thermal factor.

Atomic structure:
```
14
Lattice="-2.756 2.818 4.893 2.756 -2.818 4.893 2.756 2.818 -4.893" Properties=species:S:1:pos:R:3 pbc="T T T"
Li 0.000 1.409 1.443
Li 2.756 1.409 3.450
Fe 2.756 0.000 0.000
Fe 0.000 0.000 4.893
Cu 1.378 1.409 -2.446
Cu 1.378 -1.409 2.446
O 2.756 -0.176 2.167
O 2.756 2.642 -2.167
O 1.504 1.409 0.121
O 4.008 1.409 0.121
O -1.252 1.409 4.772
O 1.252 1.409 4.772
O 0.000 0.176 7.060
O 0.000 2.994 2.725
```

Top 8 peaks for 2θ from 10° to 80°, sorted by position:
2θ 18.2, d = 4.884 Å, intensity 100.0; 2θ 18.5, d = 4.802 Å, intensity 95.3; 2θ 31.7, d = 2.823 Å, intensity 38.8; 2θ 36.8, d = 2.445 Å, intensity 73.7; 2θ 37.0, d = 2.430 Å, intensity 27.2; 2θ 37.5, d = 2.400 Å, intensity 42.0; 2θ 46.1, d = 1.971 Å, intensity 75.9; 2θ 60.3, d = 1.534 Å, intensity 62.2